1.
Calculated PXRD pattern
Compound: La4Sm6Dy
Radiation: CuKα
Structure: DFT lattice parameters and positions (PBE)

Largest 8 diffraction maxima, in order of falling intensity, 2θ = 15–90°:
| 2θ (°) | I/Imax |
| --- | --- |
| 28.1 | 1000 |
| 29.5 | 839 |
| 33.7 | 537 |
| 29.7 | 332 |
| 36.9 | 241 |
| 55.2 | 232 |
| 37.1 | 226 |
| 64.4 | 220 |

Crystal structure
Lattice parameters (Å, degrees): 9.6893 9.6893 9.6893 138.35 138.35 60.37
Sites, in units of the cell vectors:
La (0.1319, 0.1319, 0.6206)
La (0.4887, 0.8681, 0.0000)
La (0.5113, 0.5113, 0.3794)
La (0.8681, 0.4887, 0.0000)
Sm (0.0000, 0.5000, 0.5000)
Sm (0.0569, 0.7147, 0.0000)
Sm (0.2853, 0.2853, 0.3423)
Sm (0.5000, 0.0000, 0.5000)
Sm (0.7147, 0.0569, 0.0000)
Sm (0.9431, 0.9431, 0.6577)
Dy (0.5000, 0.5000, 0.0000)

***

2.
Calculated PXRD pattern
Compound: La3SmDy7
Radiation: CuKα
Structure: DFT lattice parameters and positions (PBE)

Largest 8 diffraction maxima, in order of falling intensity, 2θ = 15–90°:
| 2θ (°) | I/Imax |
| --- | --- |
| 31.2 | 1000 |
| 31.7 | 940 |
| 31.9 | 911 |
| 32.7 | 370 |
| 32.2 | 346 |
| 34.3 | 231 |
| 32.5 | 185 |
| 31.6 | 148 |

Crystal structure
Lattice parameters (Å, degrees): 6.5909 6.7388 8.6913 99.61 98.52 95.20
Sites, in units of the cell vectors:
La (0.0000, 0.0000, 0.0000)
La (0.1975, 0.5602, 0.1634)
La (0.8025, 0.4398, 0.8366)
Sm (0.5000, 0.0000, 0.5000)
Dy (0.0127, 0.7679, 0.5797)
Dy (0.2804, 0.2759, 0.7864)
Dy (0.4384, 0.7930, 0.8536)
Dy (0.5000, 0.5000, 0.5000)
Dy (0.5616, 0.2070, 0.1464)
Dy (0.7196, 0.7241, 0.2136)
Dy (0.9873, 0.2321, 0.4203)